Computed powder X-ray diffraction pattern of AsRhSe4 for a wavelength of 1.5418 Å, from DFT lattice parameters and positions (GGA-PBE).
Neutral-atom scattering factors, no anomalous dispersion.

Structural model:
a b c (Å): 4.8393 4.8925 6.2985
angles (deg): 74.48 72.52 65.81
Space group P1 (No. 1)
Asymmetric unit:
As1 0.0000 0.0000 0.0000 x1
Rh1 0.1399 0.1164 0.3009 x1
Se1 0.2515 0.2587 0.6187 x1
Se2 0.4627 0.4016 0.0274 x1
Se3 0.6499 0.6269 0.2910 x1
Se4 0.8294 0.8217 0.5700 x1

The 8 most intense peaks (10 to 90 degrees two-theta), low angle first:
2θ 15.0, I = 35.1; 2θ 31.3, I = 98.7; 2θ 31.8, I = 96.6; 2θ 33.9, I = 100.0; 2θ 45.9, I = 35.9; 2θ 46.4, I = 60.5; 2θ 47.2, I = 32.3; 2θ 48.0, I = 31.4